Structure and theoretical powder diffractogram of SmPaMn2O8 (a DFT-relaxed cell (PBE+U, Alexandria); Cu Kα, 1.54184 Å).
Neutral-atom scattering factors, no anomalous dispersion.

The 10 most intense peaks (5 to 70 degrees two-theta), in order of rising 2θ:
d/Å	intensity
4.717	42
3.081	100
2.844	17
2.592	20
2.272	16
1.916	29
1.833	14
1.684	17
1.575	28
1.541	12

Cell and atoms:
```
SmPaMn2O8
1.0
-2.592 2.592 5.688
2.592 -2.592 5.688
2.592 2.592 -5.688
Sm Pa Mn O
1 1 2 8
Direct
0.000 0.000 0.000
0.750 0.250 0.500
0.250 0.750 0.500
0.500 0.500 0.000
0.002 0.968 0.613
0.032 0.645 0.034
0.182 0.263 0.602
0.355 0.389 0.387
0.420 0.818 0.081
0.611 0.998 0.966
0.661 0.580 0.398
0.737 0.339 0.919
```

---

Structure and theoretical powder diffractogram of PaCo3Pb2O12 (a DFT-relaxed cell (PBE+U, Alexandria); Cu Kα, 1.54184 Å).
Neutral-atom scattering factors, no anomalous dispersion.

The 10 most intense peaks (5 to 70 degrees two-theta), in order of rising 2θ:
d/Å	intensity
4.719	27
3.521	91
2.872	100
2.822	32
2.678	55
2.131	26
1.881	33
1.823	43
1.760	39
1.471	24

Cell and atoms:
```
PaCo3Pb2O12
1.0
3.521 2.033 4.968
-3.521 2.033 4.968
0.000 -4.065 4.968
Pa Co Pb O
1 3 2 12
Direct
0.000 0.000 0.000
0.000 0.000 0.500
0.000 0.500 0.000
0.500 0.000 0.000
0.386 0.386 0.386
0.614 0.614 0.614
0.117 0.742 0.742
0.142 0.142 0.571
0.142 0.571 0.142
0.258 0.258 0.883
0.258 0.883 0.258
0.429 0.858 0.858
0.571 0.142 0.142
0.742 0.117 0.742
0.742 0.742 0.117
0.858 0.429 0.858
0.858 0.858 0.429
0.883 0.258 0.258
```